Diffraction record for LiNbO3. The XRD peak list is computed, not measured: it uses DFT lattice parameters and positions (PBE) and Cu Kα X-rays.

Top 12 peaks for 2θ = 15–90°, most intense first:
2theta  d/Å  I (rel.)
23.35  3.809  1000
32.15  2.784  389
52.31  1.749  269
34.34  2.611  226
47.75  1.905  187
55.28  1.662  156
60.13  1.539  146
41.94  2.154  126
61.50  1.508  119
55.89  1.645  81
39.45  2.284  78
77.24  1.235  71

Structure:
Unit cell a=5.592 b=5.592 c=5.592 alpha=55.68 beta=55.68 gamma=55.68
Atoms (fractional coordinates):
Li  0.000  0.000  0.000
Li  0.500  0.500  0.500
Nb  0.282  0.282  0.282
Nb  0.782  0.782  0.782
O  0.063  0.423  0.673
O  0.173  0.923  0.563
O  0.423  0.673  0.063
O  0.563  0.173  0.923
O  0.673  0.063  0.423
O  0.923  0.563  0.173